(1)
Calculated PXRD pattern of Sm4Pb2O for Cu Kα, 1.54184 Å, from a DFT-relaxed cell (GGA-PBE, Alexandria).

Unit cell a=6.582 b=6.868 c=9.456 alpha=90.00 beta=110.20 gamma=90.00
Space group P2_1/m (No. 11)
One atom of each set of equivalent atoms:
Sm 0.036 0.002 0.297 x4
Sm 0.347 0.250 0.045 x2
Sm 0.432 0.250 0.661 x2
Pb 0.194 0.750 0.026 x2
Pb 0.347 0.750 0.601 x2
O 0.196 0.250 0.789 x2

Top 6 peaks for 10° ≤ 2θ ≤ 90°, low angle first:
hkl 1 0 2, 28.54 deg, intensity 36
hkl 2 0 -2, 28.96 deg, intensity 94
hkl 1 2 0, 29.77 deg, intensity 73
hkl 0 0 3, 30.21 deg, intensity 57
hkl 0 2 2, 32.98 deg, intensity 62
hkl 1 2 -2, 33.10 deg, intensity 100


(2)
Calculated PXRD pattern of Sm2Pb2O7 for Cu Kα, 1.54184 Å, from a DFT-relaxed cell (GGA-PBE, Alexandria).

Unit cell a=10.911 b=10.911 c=10.911 alpha=90.00 beta=90.00 gamma=90.00
Space group Fd-3m (No. 227, origin choice 2)
One atom of each set of equivalent atoms:
Sm 0.000 0.000 0.000 x16
Pb 0.000 0.000 0.500 x16
O 0.096 0.375 0.875 x48
O 0.125 0.125 0.125 x8

Top 6 peaks for 10° ≤ 2θ ≤ 90°, low angle first:
hkl 2 2 2, 28.33 deg, intensity 100
hkl 4 0 0, 32.83 deg, intensity 37
hkl 4 4 0, 47.12 deg, intensity 48
hkl 6 2 2, 55.89 deg, intensity 46
hkl 6 6 2, 76.04 deg, intensity 19
hkl 8 4 4, 87.62 deg, intensity 16


(3)
Calculated PXRD pattern of Sm2Pb2O7 for Cu Kα, 1.54184 Å, from a DFT-relaxed cell (GGA-PBE, Alexandria).

Unit cell a=7.447 b=7.072 c=12.984 alpha=90.00 beta=102.77 gamma=90.00
Space group P2_1/c (No. 14)
One atom of each set of equivalent atoms:
Sm 0.033 0.093 0.351 x4
Sm 0.212 0.186 0.110 x4
Pb 0.299 0.587 0.394 x4
Pb 0.441 0.614 0.110 x4
O 0.048 0.743 0.827 x4
O 0.101 0.113 0.929 x4
O 0.175 0.503 0.030 x4
O 0.284 0.529 0.230 x4
O 0.301 0.113 0.288 x4
O 0.398 0.579 0.579 x4
O 0.496 0.186 0.564 x4

Top 6 peaks for 10° ≤ 2θ ≤ 90°, low angle first:
hkl 0 2 1, 26.17 deg, intensity 100
hkl 0 0 4, 28.19 deg, intensity 87
hkl 2 1 -2, 28.44 deg, intensity 74
hkl 2 1 1, 29.86 deg, intensity 86
hkl 2 1 -3, 31.39 deg, intensity 65
hkl 0 2 3, 33.05 deg, intensity 55


(4)
Calculated PXRD pattern of Sn3Pb2O8 for Cu Kα, 1.54184 Å, from a DFT-relaxed cell (GGA-PBE, Alexandria).

Unit cell a=6.4131 b=6.4131 c=12.7590 alpha=90.00 beta=90.00 gamma=120.00
Space group P6_3mc (No. 186)
One atom of each set of equivalent atoms:
Sn 0.1658 0.3317 0.0000 x6
Pb 0.3333 0.6667 0.3198 x2
Pb 0.3333 0.6667 0.6742 x2
O 0.0000 0.0000 0.0851 x2
O 0.0264 0.5132 0.0873 x6
O 0.1572 0.3145 0.4156 x6
O 0.3333 0.6667 0.9149 x2

Top 6 peaks for 10° ≤ 2θ ≤ 90°, low angle first:
hkl 1 0 2, 21.21 deg, intensity 30
hkl 1 0 3, 26.39 deg, intensity 100
hkl 1 1 2, 31.22 deg, intensity 44
hkl 2 0 1, 33.01 deg, intensity 50
hkl 2 0 5, 48.40 deg, intensity 80
hkl 2 2 0, 57.49 deg, intensity 26


Repeat the second record exactly.
Calculated PXRD pattern of Sm2Pb2O7 for Cu Kα, 1.54184 Å, from a DFT-relaxed cell (GGA-PBE, Alexandria).

Unit cell a=10.911 b=10.911 c=10.911 alpha=90.00 beta=90.00 gamma=90.00
Space group Fd-3m (No. 227, origin choice 2)
One atom of each set of equivalent atoms:
Sm 0.000 0.000 0.000 x16
Pb 0.000 0.000 0.500 x16
O 0.096 0.375 0.875 x48
O 0.125 0.125 0.125 x8

Top 6 peaks for 10° ≤ 2θ ≤ 90°, low angle first:
hkl 2 2 2, 28.33 deg, intensity 100
hkl 4 0 0, 32.83 deg, intensity 37
hkl 4 4 0, 47.12 deg, intensity 48
hkl 6 2 2, 55.89 deg, intensity 46
hkl 6 6 2, 76.04 deg, intensity 19
hkl 8 4 4, 87.62 deg, intensity 16


Please write out number 2 again, unchanged.
Calculated PXRD pattern of Sm2Pb2O7 for Cu Kα, 1.54184 Å, from a DFT-relaxed cell (GGA-PBE, Alexandria).

Unit cell a=10.911 b=10.911 c=10.911 alpha=90.00 beta=90.00 gamma=90.00
Space group Fd-3m (No. 227, origin choice 2)
One atom of each set of equivalent atoms:
Sm 0.000 0.000 0.000 x16
Pb 0.000 0.000 0.500 x16
O 0.096 0.375 0.875 x48
O 0.125 0.125 0.125 x8

Top 6 peaks for 10° ≤ 2θ ≤ 90°, low angle first:
hkl 2 2 2, 28.33 deg, intensity 100
hkl 4 0 0, 32.83 deg, intensity 37
hkl 4 4 0, 47.12 deg, intensity 48
hkl 6 2 2, 55.89 deg, intensity 46
hkl 6 6 2, 76.04 deg, intensity 19
hkl 8 4 4, 87.62 deg, intensity 16